1.
Simulated powder diffractogram
Compound: CsBaPbO3
Radiation: Cu Kα, 1.54184 Å
Structure: a GGA-PBE-relaxed structure
Intensities are scaled so that the largest is 100.

Atomic structure:
```
data_CsBaPbO3
_cell_length_a 4.180
_cell_length_b 14.117
_cell_length_c 11.879
_cell_angle_alpha 90.00
_cell_angle_beta 90.00
_cell_angle_gamma 90.00
_symmetry_space_group_name_H-M 'C m c m'
_symmetry_Int_Tables_number 63
_symmetry_space_group_name_Hall '-C 2c 2'
loop_
_atom_site_label
_atom_site_fract_x
_atom_site_fract_y
_atom_site_fract_z
Cs1 0.000 0.217 0.250
Ba1 0.000 0.000 0.000
Pb1 0.000 0.489 0.250
O1 0.000 0.072 0.750
O2 0.000 0.416 0.608
```

Most intense lines, 2θ from 10° to 80°, in order of falling intensity:
2theta	Rel. int.
32.37	100
12.54	84
26.83	81
25.23	45
14.92	43
30.09	38
52.70	33
39.66	32
54.90	23
23.42	21

2.
Simulated powder diffractogram
Compound: Cs2BaPdO4
Radiation: Cu Kα, 1.54184 Å
Structure: a GGA-PBE-relaxed structure
Intensities are scaled so that the largest is 100.

Atomic structure:
```
data_Cs2BaPdO4
_cell_length_a 6.851
_cell_length_b 14.571
_cell_length_c 24.797
_cell_angle_alpha 90.00
_cell_angle_beta 90.00
_cell_angle_gamma 90.00
_symmetry_space_group_name_H-M 'F d d d'
_symmetry_Int_Tables_number 70
loop_
_symmetry_equiv_pos_as_xyz
'x,y,z'
'-x,-y,-z'
'-x+1/4,-y+1/4,z'
'x+1/4,y+1/4,-z'
'x,-y+1/4,-z+1/4'
'-x,y+1/4,z+1/4'
'-x+1/4,y,-z+1/4'
'x+1/4,-y,z+1/4'
'x,y+1/2,z+1/2'
'-x,-y+1/2,-z+1/2'
'-x+1/4,-y+3/4,z+1/2'
'x+1/4,y+3/4,-z+1/2'
'x,-y+3/4,-z+3/4'
'-x,y+3/4,z+3/4'
'-x+1/4,y+1/2,-z+3/4'
'x+1/4,-y+1/2,z+3/4'
'x+1/2,y,z+1/2'
'-x+1/2,-y,-z+1/2'
'-x+3/4,-y+1/4,z+1/2'
'x+3/4,y+1/4,-z+1/2'
'x+1/2,-y+1/4,-z+3/4'
'-x+1/2,y+1/4,z+3/4'
'-x+3/4,y,-z+3/4'
'x+3/4,-y,z+3/4'
'x+1/2,y+1/2,z'
'-x+1/2,-y+1/2,-z'
'-x+3/4,-y+3/4,z'
'x+3/4,y+3/4,-z'
'x+1/2,-y+3/4,-z+1/4'
'-x+1/2,y+3/4,z+1/4'
'-x+3/4,y+1/2,-z+1/4'
'x+3/4,-y+1/2,z+1/4'
loop_
_atom_site_label
_atom_site_fract_x
_atom_site_fract_y
_atom_site_fract_z
Cs1 0.125 0.125 0.317
Ba1 0.125 0.125 0.125
Pd1 0.125 0.125 0.625
O1 0.076 0.278 0.869
```

Most intense lines, 2θ from 10° to 80°, in order of falling intensity:
2theta	Rel. int.
14.29	100
28.81	99
24.77	78
17.88	49
24.44	47
42.31	40
38.34	35
22.96	34
52.00	34
32.29	30

3.
Simulated powder diffractogram
Compound: CsBaRe2O8
Radiation: Cu Kα, 1.54184 Å
Structure: a GGA-PBE-relaxed structure
Intensities are scaled so that the largest is 100.

Atomic structure:
```
data_CsBaRe2O8
_cell_length_a 5.9476
_cell_length_b 5.9476
_cell_length_c 26.5443
_cell_angle_alpha 90.00
_cell_angle_beta 90.00
_cell_angle_gamma 120.00
_symmetry_space_group_name_H-M 'R 3 2'
_symmetry_Int_Tables_number 155
_symmetry_space_group_name_Hall 'R 3 2"'
loop_
_atom_site_label
_atom_site_fract_x
_atom_site_fract_y
_atom_site_fract_z
Cs1 0.0000 0.0000 0.0000
Ba1 0.0000 0.0000 0.5000
Re1 0.0000 0.0000 0.2512
O1 0.0000 0.0000 0.3177
O2 0.0005 0.2835 0.7710
```

Most intense lines, 2θ from 10° to 80°, in order of falling intensity:
2theta	Rel. int.
21.84	100
30.05	43
32.09	34
37.46	22
48.75	22
51.49	20
54.66	14
44.53	13
53.36	11
75.22	11

4.
Simulated powder diffractogram
Compound: Cs2BaTcO6
Radiation: Cu Kα, 1.54184 Å
Structure: a GGA-PBE-relaxed structure
Intensities are scaled so that the largest is 100.

Atomic structure:
```
data_Cs2BaTcO6
_cell_length_a 6.7863
_cell_length_b 6.7863
_cell_length_c 32.4201
_cell_angle_alpha 90.00
_cell_angle_beta 90.00
_cell_angle_gamma 120.00
_symmetry_space_group_name_H-M 'R -3 m'
_symmetry_Int_Tables_number 166
_symmetry_space_group_name_Hall '-R 3 2"'
loop_
_atom_site_label
_atom_site_fract_x
_atom_site_fract_y
_atom_site_fract_z
Cs1 0.0000 0.0000 0.1332
Cs2 0.0000 0.0000 0.2659
Ba1 0.0000 0.0000 0.3974
Tc1 0.0000 0.0000 0.0000
Tc2 0.0000 0.0000 0.5000
O1 0.0699 0.5349 0.1323
O2 0.0719 0.5360 0.7007
```

Most intense lines, 2θ from 10° to 80°, in order of falling intensity:
2theta	Rel. int.
26.26	100
26.72	56
46.63	25
24.47	24
37.82	23
50.04	22
46.35	19
36.20	17
54.05	17
36.37	12

5.
Simulated powder diffractogram
Compound: Cs4Ba3TcO8
Radiation: Cu Kα, 1.54184 Å
Structure: a GGA-PBE-relaxed structure
Intensities are scaled so that the largest is 100.

Atomic structure:
```
data_Cs4Ba3TcO8
_cell_length_a 7.6874
_cell_length_b 7.6874
_cell_length_c 20.5558
_cell_angle_alpha 90.00
_cell_angle_beta 90.00
_cell_angle_gamma 120.00
_symmetry_space_group_name_H-M 'R -3 m'
_symmetry_Int_Tables_number 166
_symmetry_space_group_name_Hall '-R 3 2"'
loop_
_atom_site_label
_atom_site_fract_x
_atom_site_fract_y
_atom_site_fract_z
Cs1 0.0000 0.0000 0.0000
Cs2 0.0000 0.5000 0.0000
Ba1 0.0000 0.5000 0.5000
Tc1 0.0000 0.0000 0.5000
O1 0.0000 0.0000 0.2326
O2 0.0841 0.5420 0.2213
```

Most intense lines, 2θ from 10° to 80°, in order of falling intensity:
2theta	Rel. int.
32.04	100
28.18	95
26.01	41
44.55	35
54.77	34
47.30	31
52.31	21
58.27	15
55.97	15
74.15	15

6.
Simulated powder diffractogram
Compound: Cs2BaTeO6
Radiation: Cu Kα, 1.54184 Å
Structure: a GGA-PBE-relaxed structure
Intensities are scaled so that the largest is 100.

Atomic structure:
```
data_Cs2BaTeO6
_cell_length_a 6.9409
_cell_length_b 6.9409
_cell_length_c 6.8119
_cell_angle_alpha 90.00
_cell_angle_beta 90.00
_cell_angle_gamma 120.00
_symmetry_space_group_name_H-M 'P -3 m 1'
_symmetry_Int_Tables_number 164
_symmetry_space_group_name_Hall '-P 3 2"'
loop_
_atom_site_label
_atom_site_fract_x
_atom_site_fract_y
_atom_site_fract_z
Cs1 0.3333 0.6667 0.4033
Ba1 0.0000 0.0000 0.0000
Te1 0.0000 0.0000 0.5000
O1 0.1302 0.2603 0.6707
```

Most intense lines, 2θ from 10° to 80°, in order of falling intensity:
2theta	Rel. int.
25.67	100
14.74	46
13.00	45
30.16	39
36.98	39
19.70	33
40.01	31
32.56	24
48.14	23
28.87	23

7.
Simulated powder diffractogram
Compound: CsBaTlO2
Radiation: Cu Kα, 1.54184 Å
Structure: a GGA-PBE-relaxed structure
Intensities are scaled so that the largest is 100.

Atomic structure:
```
data_CsBaTlO2
_cell_length_a 7.790
_cell_length_b 7.303
_cell_length_c 7.488
_cell_angle_alpha 90.00
_cell_angle_beta 105.94
_cell_angle_gamma 90.00
_symmetry_space_group_name_H-M 'P 1 2/c 1'
_symmetry_Int_Tables_number 13
_symmetry_space_group_name_Hall '-P 2yc'
loop_
_atom_site_label
_atom_site_fract_x
_atom_site_fract_y
_atom_site_fract_z
Cs1 0.000 0.195 0.250
Ba1 0.500 0.489 0.750
Tl1 0.500 0.000 0.000
O1 0.349 0.305 0.447
```

Most intense lines, 2θ from 10° to 80°, in order of falling intensity:
2theta	Rel. int.
27.20	100
11.81	55
23.76	47
32.80	29
27.63	24
24.34	20
43.93	19
18.97	18
44.95	18
39.83	18

8.
Simulated powder diffractogram
Compound: CsBaZrO4
Radiation: Cu Kα, 1.54184 Å
Structure: a GGA-PBE-relaxed structure
Intensities are scaled so that the largest is 100.

Atomic structure:
```
data_CsBaZrO4
_cell_length_a 6.031
_cell_length_b 14.421
_cell_length_c 6.065
_cell_angle_alpha 90.00
_cell_angle_beta 90.00
_cell_angle_gamma 90.00
_symmetry_space_group_name_H-M 'C m c m'
_symmetry_Int_Tables_number 63
_symmetry_space_group_name_Hall '-C 2c 2'
loop_
_atom_site_label
_atom_site_fract_x
_atom_site_fract_y
_atom_site_fract_z
Cs1 0.000 0.090 0.250
Ba1 0.000 0.388 0.250
Zr1 0.000 0.258 0.750
O1 0.000 0.112 0.750
O2 0.000 0.405 0.750
O3 0.250 0.250 0.000
```

Most intense lines, 2θ from 10° to 80°, in order of falling intensity:
2theta	Rel. int.
27.92	100
42.26	31
29.45	30
29.62	30
51.31	19
51.53	18
57.71	16
37.42	14
48.32	9
48.43	8

9.
Simulated powder diffractogram
Compound: CsRbBaPPt
Radiation: Cu Kα, 1.54184 Å
Structure: a GGA-PBE-relaxed structure
Intensities are scaled so that the largest is 100.

Atomic structure:
```
data_CsRbBaPPt
_cell_length_a 4.430
_cell_length_b 6.091
_cell_length_c 11.098
_cell_angle_alpha 75.93
_cell_angle_beta 86.46
_cell_angle_gamma 69.87
_symmetry_space_group_name_H-M 'P 1'
_symmetry_Int_Tables_number 1
_symmetry_space_group_name_Hall 'P 1'
loop_
_atom_site_label
_atom_site_fract_x
_atom_site_fract_y
_atom_site_fract_z
Cs1 0.000 0.000 0.000
Rb1 0.291 0.300 0.386
Ba1 0.632 0.644 0.676
P1 0.916 0.084 0.680
Pt1 0.362 0.192 0.697
```

Most intense lines, 2θ from 10° to 80°, in order of falling intensity:
2theta	Rel. int.
24.82	100
31.29	59
22.24	53
30.92	52
40.82	48
16.13	46
22.74	43
15.95	43
33.34	42
27.42	37

10.
Simulated powder diffractogram
Compound: CsRbBaPPt
Radiation: Cu Kα, 1.54184 Å
Structure: a GGA-PBE-relaxed structure
Intensities are scaled so that the largest is 100.

Atomic structure:
```
data_CsRbBaPPt
_cell_length_a 9.192
_cell_length_b 5.310
_cell_length_c 10.657
_cell_angle_alpha 90.00
_cell_angle_beta 107.21
_cell_angle_gamma 90.00
_symmetry_space_group_name_H-M 'C 1 m 1'
_symmetry_Int_Tables_number 8
_symmetry_space_group_name_Hall 'C -2y'
loop_
_atom_site_label
_atom_site_fract_x
_atom_site_fract_y
_atom_site_fract_z
Cs1 0.000 0.000 0.000
Rb1 0.298 0.500 0.410
Ba1 0.063 0.500 0.698
P1 0.268 0.000 0.809
Pt1 0.191 0.000 0.583
```

Most intense lines, 2θ from 10° to 80°, in order of falling intensity:
2theta	Rel. int.
24.18	100
33.77	96
24.34	49
20.17	27
22.62	23
35.35	23
37.78	23
42.05	23
34.90	23
17.42	19

11.
Simulated powder diffractogram
Compound: Cs3Ba2PaS6
Radiation: Cu Kα, 1.54184 Å
Structure: a GGA-PBE-relaxed structure
Intensities are scaled so that the largest is 100.

Atomic structure:
```
data_Cs3Ba2PaS6
_cell_length_a 7.796
_cell_length_b 13.472
_cell_length_c 8.432
_cell_angle_alpha 90.00
_cell_angle_beta 107.96
_cell_angle_gamma 90.00
_symmetry_space_group_name_H-M 'C 1 2/m 1'
_symmetry_Int_Tables_number 12
_symmetry_space_group_name_Hall '-C 2y'
loop_
_atom_site_label
_atom_site_fract_x
_atom_site_fract_y
_atom_site_fract_z
Cs1 0.000 0.000 0.000
Cs2 0.000 0.329 0.000
Ba1 0.000 0.166 0.500
Pa1 0.000 0.500 0.500
S1 0.206 0.357 0.689
S2 0.221 0.500 0.309
```

Most intense lines, 2θ from 10° to 80°, in order of falling intensity:
2theta	Rel. int.
27.28	100
24.02	60
37.79	36
22.17	27
46.30	26
40.09	23
49.19	17
44.25	17
62.02	15
40.16	12

12.
Simulated powder diffractogram
Compound: CsBaPb2
Radiation: Cu Kα, 1.54184 Å
Structure: a GGA-PBE-relaxed structure
Intensities are scaled so that the largest is 100.

Atomic structure:
```
data_CsBaPb2
_cell_length_a 7.130
_cell_length_b 8.543
_cell_length_c 11.386
_cell_angle_alpha 90.00
_cell_angle_beta 90.00
_cell_angle_gamma 90.00
_symmetry_space_group_name_H-M 'P n m a'
_symmetry_Int_Tables_number 62
_symmetry_space_group_name_Hall '-P 2ac 2n'
loop_
_atom_site_label
_atom_site_fract_x
_atom_site_fract_y
_atom_site_fract_z
Cs1 0.003 0.250 0.221
Ba1 0.152 0.750 0.129
Pb1 0.173 0.571 0.439
```

Most intense lines, 2θ from 10° to 80°, in order of falling intensity:
2theta	Rel. int.
34.83	100
25.68	88
28.98	70
26.08	63
33.92	50
25.54	47
34.52	47
27.10	42
28.23	42
29.56	39

13.
Simulated powder diffractogram
Compound: CsBa2Pt
Radiation: Cu Kα, 1.54184 Å
Structure: a GGA-PBE-relaxed structure
Intensities are scaled so that the largest is 100.

Atomic structure:
```
data_CsBa2Pt
_cell_length_a 4.6899
_cell_length_b 4.6899
_cell_length_c 38.0397
_cell_angle_alpha 90.00
_cell_angle_beta 90.00
_cell_angle_gamma 120.00
_symmetry_space_group_name_H-M 'R -3 m'
_symmetry_Int_Tables_number 166
_symmetry_space_group_name_Hall '-R 3 2"'
loop_
_atom_site_label
_atom_site_fract_x
_atom_site_fract_y
_atom_site_fract_z
Cs1 0.0000 0.0000 0.0000
Ba1 0.0000 0.0000 0.1231
Pt1 0.0000 0.0000 0.5000
```

Most intense lines, 2θ from 10° to 80°, in order of falling intensity:
2theta	Rel. int.
28.91	100
22.38	59
13.97	49
38.39	47
44.14	35
24.85	28
32.24	27
48.76	23
63.70	21
41.04	21